1.
Calculated PXRD pattern
Compound: NdSmY5Tm2
Radiation: Cu Ka
Structure: a crystal structure in Alexandria, relaxed with GGA-PBE
Neutral-atom scattering factors, no anomalous dispersion.

Structural model:
```
data_NdSmY5Tm2
_chemical_formula_sum 'Nd2 Sm2 Y10 Tm4'
_symmetry_space_group_name_H-M 'P 1'
_symmetry_Int_Tables_number 1
_symmetry_space_group_name_Hall 'P 1'
_cell_length_a 10.4671
_cell_length_b 10.4671
_cell_length_c 10.4577
_cell_angle_alpha 90.00
_cell_angle_beta 90.00
_cell_angle_gamma 148.73
loop_
_atom_site_label
_atom_site_fract_x
_atom_site_fract_y
_atom_site_fract_z
Nd1 0.0854 0.9146 0.5000
Nd2 0.9146 0.0854 0.0000
Sm1 0.3033 0.6967 0.0712
Sm2 0.6967 0.3033 0.5712
Y1 0.0231 0.9769 0.7918
Y2 0.1128 0.8872 0.0812
Y3 0.2007 0.7993 0.7635
Y4 0.2223 0.7777 0.3749
Y5 0.4838 0.5162 0.0788
Y6 0.5162 0.4838 0.5788
Y7 0.7777 0.2223 0.8749
Y8 0.7993 0.2007 0.2635
Y9 0.8872 0.1128 0.5812
Y10 0.9769 0.0231 0.2918
Tm1 0.3871 0.6129 0.3762
Tm2 0.3878 0.6122 0.7897
Tm3 0.6122 0.3878 0.2897
Tm4 0.6129 0.3871 0.8762
```

Top 12 peaks for 10 to 80 degrees two-theta, by angle:
2θ/deg, I_rel
27.89, 18
30.47, 44
31.71, 47
32.21, 100
33.01, 10
34.30, 9
36.05, 8
42.73, 11
51.47, 11
56.81, 22
59.28, 14
61.73, 13

---

2.
Calculated PXRD pattern
Compound: Nd2SmYTm2
Radiation: Cu Ka
Structure: a crystal structure in Alexandria, relaxed with GGA-PBE
Neutral-atom scattering factors, no anomalous dispersion.

Structural model:
```
data_Nd2SmYTm2
_chemical_formula_sum 'Nd4 Sm2 Y2 Tm4'
_symmetry_space_group_name_H-M 'P 1'
_symmetry_Int_Tables_number 1
_symmetry_space_group_name_Hall 'P 1'
_cell_length_a 7.0752
_cell_length_b 9.8066
_cell_length_c 5.6610
_cell_angle_alpha 90.00
_cell_angle_beta 90.00
_cell_angle_gamma 90.00
loop_
_atom_site_label
_atom_site_fract_x
_atom_site_fract_y
_atom_site_fract_z
Nd1 0.2484 0.1671 0.0000
Nd2 0.2516 0.6671 0.5000
Nd3 0.7484 0.3329 0.5000
Nd4 0.7516 0.8329 0.0000
Sm1 0.0000 0.5000 0.0000
Sm2 0.5000 0.0000 0.5000
Y1 0.0000 0.0000 0.5000
Y2 0.5000 0.5000 0.0000
Tm1 0.2496 0.3336 0.5000
Tm2 0.2504 0.8336 0.0000
Tm3 0.7496 0.1664 0.0000
Tm4 0.7504 0.6664 0.5000
```

Top 12 peaks for 10 to 80 degrees two-theta, by angle:
2θ/deg, I_rel
25.17, 12
31.18, 85
31.61, 100
40.83, 20
44.99, 31
51.68, 8
56.02, 32
56.29, 19
61.85, 29
66.01, 12
74.80, 14
79.92, 14

---

3.
Calculated PXRD pattern
Compound: Nd2SmYTm5
Radiation: Cu Ka
Structure: a crystal structure in Alexandria, relaxed with GGA-PBE
Neutral-atom scattering factors, no anomalous dispersion.

Structural model:
```
data_Nd2SmYTm5
_chemical_formula_sum 'Nd4 Sm2 Y2 Tm10'
_symmetry_space_group_name_H-M 'P 1'
_symmetry_Int_Tables_number 1
_symmetry_space_group_name_Hall 'P 1'
_cell_length_a 9.8626
_cell_length_b 9.8626
_cell_length_c 9.8626
_cell_angle_alpha 128.31
_cell_angle_beta 128.31
_cell_angle_gamma 76.12
loop_
_atom_site_label
_atom_site_fract_x
_atom_site_fract_y
_atom_site_fract_z
Nd1 0.1180 0.6180 0.7359
Nd2 0.3820 0.1180 0.5000
Nd3 0.6180 0.8820 0.5000
Nd4 0.8820 0.3820 0.2641
Sm1 0.2500 0.7500 0.5000
Sm2 0.7500 0.2500 0.5000
Y1 0.2500 0.2500 0.0000
Y2 0.7500 0.7500 0.0000
Tm1 0.0000 0.0000 0.0000
Tm2 0.0713 0.1504 0.5000
Tm3 0.1504 0.6504 0.0791
Tm4 0.3496 0.4287 0.5000
Tm5 0.4287 0.9287 0.0791
Tm6 0.5000 0.5000 0.0000
Tm7 0.5713 0.0713 0.9209
Tm8 0.6504 0.5713 0.5000
Tm9 0.8496 0.3496 0.9209
Tm10 0.9287 0.8496 0.5000
```

Top 12 peaks for 10 to 80 degrees two-theta, by angle:
2θ/deg, I_rel
28.92, 53
29.38, 51
31.04, 100
34.96, 17
37.21, 11
38.18, 17
43.80, 12
46.79, 12
46.97, 13
53.16, 21
56.22, 12
60.96, 16

---

4.
Calculated PXRD pattern
Compound: NdSm2YTm2
Radiation: Cu Ka
Structure: a crystal structure in Alexandria, relaxed with GGA-PBE
Neutral-atom scattering factors, no anomalous dispersion.

Structural model:
```
data_NdSm2YTm2
_chemical_formula_sum 'Nd2 Sm4 Y2 Tm4'
_symmetry_space_group_name_H-M 'P 1'
_symmetry_Int_Tables_number 1
_symmetry_space_group_name_Hall 'P 1'
_cell_length_a 7.0211
_cell_length_b 9.8129
_cell_length_c 5.6457
_cell_angle_alpha 90.00
_cell_angle_beta 90.00
_cell_angle_gamma 90.00
loop_
_atom_site_label
_atom_site_fract_x
_atom_site_fract_y
_atom_site_fract_z
Nd1 0.0000 0.0000 0.0000
Nd2 0.5000 0.5000 0.5000
Sm1 0.2479 0.3330 0.0000
Sm2 0.2521 0.8330 0.5000
Sm3 0.7479 0.1670 0.5000
Sm4 0.7521 0.6670 0.0000
Y1 0.0000 0.5000 0.5000
Y2 0.5000 0.0000 0.0000
Tm1 0.2500 0.1663 0.5000
Tm2 0.2500 0.6663 0.0000
Tm3 0.7500 0.3337 0.0000
Tm4 0.7500 0.8337 0.5000
```

Top 12 peaks for 10 to 80 degrees two-theta, by angle:
2θ/deg, I_rel
25.37, 12
31.35, 83
31.64, 100
40.98, 21
45.14, 30
52.11, 8
56.13, 21
56.25, 17
56.41, 13
62.25, 29
66.02, 8
74.85, 4